Ba3LiIn3: theoretical powder diffractogram (Cu Kα (λ = 1.5418 Å)), based on the GGA-PBE geometry in Alexandria.
Intensities are scaled so that the largest is 100.

Largest 10 diffraction maxima, most intense first, 2θ = 10–90°:
d = 3.410 Å, rel. 100, hkl 1 1 3; d = 2.706 Å, rel. 89, hkl 0 2 0; d = 3.212 Å, rel. 60, hkl 3 1 -2; d = 2.602 Å, rel. 40, hkl 3 1 -5; d = 3.338 Å, rel. 39, hkl 1 1 -4; d = 3.887 Å, rel. 31, hkl 1 1 -3; d = 3.036 Å, rel. 26, hkl 4 0 -2; d = 2.692 Å, rel. 23, hkl 0 0 6; d = 3.239 Å, rel. 23, hkl 3 1 -1; d = 2.948 Å, rel. 22, hkl 3 1 1

Crystal structure
a = 12.1612 Å, b = 5.4123 Å, c = 16.9805 Å
α = 90.00°, β = 107.96°, γ = 90.00°
Space group C2/m (No. 12)
One atom of each set of equivalent atoms:
Ba (0.0277, 0.0000, 0.2682)
Ba (0.1581, 0.5000, 0.1196)
Ba (0.1786, 0.0000, 0.5735)
Li (0.1673, 0.5000, 0.9104)
In (0.0212, 0.5000, 0.4181)
In (0.0885, 0.0000, 0.9572)
In (0.1760, 0.5000, 0.7360)